Diffraction record for Ta5Ge3. The powder X-ray diffraction pattern is simulated, not measured: it uses the PBE geometry in the Materials Project and CuKα.
Peak positions follow from Bragg's law for the DFT cell and can differ from measured ones.

Principal peaks in the range 10 to 90 degrees two-theta, sorted by position:
d 3.424, intensity 14.3
d 2.599, intensity 23.9
d 2.544, intensity 15.2
d 2.480, intensity 60.2
d 2.314, intensity 38.3
d 2.275, intensity 54.6
d 2.229, intensity 100.0
d 2.107, intensity 53.3
d 1.439, intensity 15.6
d 1.420, intensity 16.2
d 1.418, intensity 23.9
d 1.240, intensity 14.6

Structural model:
Cell lengths 7.6492, 7.6492, 7.6492 Å; angles 96.63, 96.63, 140.27 degrees
Atoms (fractional coordinates):
Ta 0.0744 0.7765 0.8509
Ta 0.2235 0.0744 0.2979
Ta 0.2500 0.7500 0.5000
Ta 0.2765 0.5744 0.8509
Ta 0.4256 0.2765 0.7021
Ta 0.5744 0.7235 0.2979
Ta 0.7235 0.4256 0.1491
Ta 0.7500 0.2500 0.5000
Ta 0.7765 0.9256 0.7021
Ta 0.9256 0.2235 0.1491
Ge 0.1670 0.3330 0.5000
Ge 0.2500 0.2500 0.0000
Ge 0.3330 0.8330 0.1660
Ge 0.6670 0.1670 0.8340
Ge 0.7500 0.7500 0.0000
Ge 0.8330 0.6670 0.5000